# 1
Calculated X-ray diffraction stick pattern of Sc2Zn5Cu5 for λ = 1.5418 Å (Cu Kα), from a DFT-relaxed cell (PBE, Alexandria).
No peak broadening, texture or thermal motion is included.

Cell and atoms:
```
data_Sc2Zn5Cu5
_cell_length_a 4.174
_cell_length_b 5.011
_cell_length_c 8.649
_cell_angle_alpha 90.00
_cell_angle_beta 90.00
_cell_angle_gamma 90.00
_symmetry_space_group_name_H-M 'P m m m'
_symmetry_Int_Tables_number 47
_symmetry_space_group_name_Hall '-P 2 2'
loop_
_atom_site_label
_atom_site_type_symbol
_atom_site_fract_x
_atom_site_fract_y
_atom_site_fract_z
Sc1 Sc 0.000 0.000 0.000
Sc2 Sc 0.000 0.500 0.500
Zn1 Zn 0.500 0.000 0.500
Zn2 Zn 0.500 0.250 0.245
Cu1 Cu 0.000 0.000 0.334
Cu2 Cu 0.000 0.500 0.164
Cu3 Cu 0.500 0.500 0.000
```

The 12 most intense peaks (10 to 90 degrees two-theta), low angle first:
4.332 Å, 20.50 deg, I 45.4
2.501 Å, 35.90 deg, I 15.4
2.168 Å, 41.66 deg, I 19.5
2.146 Å, 42.12 deg, I 100.0
2.087 Å, 43.36 deg, I 37.3
1.924 Å, 47.24 deg, I 40.9
1.920 Å, 47.35 deg, I 21.6
1.503 Å, 61.72 deg, I 16.5
1.366 Å, 68.73 deg, I 13.8
1.250 Å, 76.19 deg, I 12.2
1.216 Å, 78.70 deg, I 13.8
1.171 Å, 82.38 deg, I 11.1

---

# 2
Calculated X-ray diffraction stick pattern of ErGa2Pd5 for λ = 1.5418 Å (Cu Kα), from a DFT-relaxed cell (PBE, Alexandria).
No peak broadening, texture or thermal motion is included.

Cell and atoms:
```
data_ErGa2Pd5
_cell_length_a 3.790
_cell_length_b 7.082
_cell_length_c 10.349
_cell_angle_alpha 90.00
_cell_angle_beta 90.00
_cell_angle_gamma 90.00
_symmetry_space_group_name_H-M 'I m m m'
_symmetry_Int_Tables_number 71
_symmetry_space_group_name_Hall '-I 2 2'
loop_
_atom_site_label
_atom_site_type_symbol
_atom_site_fract_x
_atom_site_fract_y
_atom_site_fract_z
Er1 Er 0.000 0.000 0.000
Ga1 Ga 0.000 0.500 0.241
Pd1 Pd 0.000 0.207 0.363
Pd2 Pd 0.000 0.500 0.000
```

The 12 most intense peaks (10 to 90 degrees two-theta), low angle first:
2.807 Å, 31.88 deg, I 17.0
2.551 Å, 35.18 deg, I 72.4
2.510 Å, 35.77 deg, I 100.0
2.089 Å, 43.31 deg, I 63.1
2.004 Å, 45.26 deg, I 15.3
1.895 Å, 48.01 deg, I 28.6
1.816 Å, 50.23 deg, I 16.3
1.771 Å, 51.62 deg, I 12.2
1.455 Å, 64.01 deg, I 11.5
1.404 Å, 66.64 deg, I 35.6
1.294 Å, 73.16 deg, I 14.7
1.284 Å, 73.82 deg, I 14.1